Diffraction record for Hf4CoP2Au. The powder XRD pattern is calculated, not measured: it uses DFT lattice parameters and positions (GGA-PBE) and Cu Kα (λ = 1.5418 Å).

Structural model:
```
Hf4CoP2Au
1.0
5.265 0.000 0.000
0.000 3.633 0.000
-2.584 0.000 7.257
Hf Co P Au
4 1 2 1
Cartesian
0.000 0.000 0.000
-1.268 1.816 4.390
1.378 0.000 3.433
2.566 1.816 1.118
0.045 1.816 1.867
1.618 1.816 5.425
3.963 0.000 2.489
-0.042 0.000 6.177
```

Most intense lines, 10 to 90 degrees two-theta, sorted by position:
(hkl)	2theta	intensity
1 1 -1	30.5	55
0 1 2	35.0	97
1 1 1	35.2	100
1 0 -3	35.4	46
2 0 0	36.2	41
2 0 -2	36.4	49
2 1 -2	44.4	37
1 0 3	47.0	38